(1)
Structure and theoretical powder diffractogram of CsTb3F10 (DFT lattice parameters and positions (GGA-PBE); CuKα).
Peak positions follow from Bragg's law for the DFT cell and can differ from measured ones.

Structure:
```
14
Lattice="6.7221 -3.8841 0.0000 6.7221 3.8841 0.0000 -0.0023 0.0000 4.0925" Properties=species:S:1:pos:R:3 pbc="T T T"
Cs 0.0000 0.0000 0.0000
Tb 6.8080 0.0000 2.1233
Tb 10.0274 1.8569 2.1096
Tb 10.0274 -1.8569 2.1096
F 3.6489 1.4201 0.0586
F 5.5102 1.7999 2.1900
F 2.4034 0.0000 2.1774
F 8.0139 1.6231 1.2232
F 3.6489 -1.4201 0.0586
F 6.1071 0.0000 0.0706
F 5.5102 -1.7999 2.1900
F 8.9565 0.0000 3.0617
F 8.0139 -1.6231 1.2232
F 10.8319 0.0000 1.2131
```

Largest 10 diffraction maxima, in order of rising 2θ, 10° ≤ 2θ ≤ 90°:
21.7 deg, I 21; 25.5 deg, I 47; 26.5 deg, I 100; 31.8 deg, I 34; 34.5 deg, I 23; 41.8 deg, I 25; 46.8 deg, I 33; 52.3 deg, I 39; 54.0 deg, I 15; 66.4 deg, I 16


(2)
Structure and theoretical powder diffractogram of Li2Mg2PdPtPb2 (DFT lattice parameters and positions (GGA-PBE); CuKα).
Peak positions follow from Bragg's law for the DFT cell and can differ from measured ones.

Structure:
```
8
Lattice="4.7060 0.0000 0.0000 0.0000 4.7060 0.0000 0.0000 0.0000 6.6239" Properties=species:S:1:pos:R:3 pbc="T T T"
Li 0.0000 0.0000 0.0000
Li 2.3530 2.3530 3.3120
Mg 0.0000 2.3530 1.6211
Mg 2.3530 0.0000 5.0028
Pd 0.0000 0.0000 3.3120
Pt 2.3530 2.3530 0.0000
Pb 0.0000 2.3530 4.9494
Pb 2.3530 0.0000 1.6746
```

Largest 10 diffraction maxima, in order of rising 2θ, 10° ≤ 2θ ≤ 90°:
23.2 deg, I 85; 38.3 deg, I 100; 45.2 deg, I 30; 45.4 deg, I 15; 55.2 deg, I 12; 60.8 deg, I 13; 69.2 deg, I 24; 69.4 deg, I 12; 74.0 deg, I 7; 82.1 deg, I 8


(3)
Structure and theoretical powder diffractogram of Tb2Pm2W (DFT lattice parameters and positions (GGA-PBE); CuKα).
Peak positions follow from Bragg's law for the DFT cell and can differ from measured ones.

Structure:
```
10
Lattice="5.6834 0.0000 0.0000 0.0000 11.4850 0.0000 0.0000 0.0000 4.7057" Properties=species:S:1:pos:R:3 pbc="T T T"
Tb 0.9912 1.3202 0.0000
Tb 1.8505 7.0627 0.0000
Tb 3.8329 4.4223 0.0000
Tb 4.6922 10.1648 0.0000
Pm 0.7102 4.0068 2.3528
Pm 2.1315 9.7493 2.3528
Pm 3.5519 1.7357 2.3528
Pm 4.9732 7.4782 2.3528
W 0.0000 0.0000 2.3528
W 2.8417 5.7425 2.3528
```

Largest 10 diffraction maxima, in order of rising 2θ, 10° ≤ 2θ ≤ 90°:
17.4 deg, I 21; 28.1 deg, I 22; 29.1 deg, I 100; 32.5 deg, I 28; 34.1 deg, I 63; 37.0 deg, I 16; 38.3 deg, I 34; 51.0 deg, I 16; 52.7 deg, I 25; 63.6 deg, I 16


(4)
Structure and theoretical powder diffractogram of Nd2Ni7P4 (DFT lattice parameters and positions (GGA-PBE); CuKα).
Peak positions follow from Bragg's law for the DFT cell and can differ from measured ones.

Structure:
```
26
Lattice="3.7558 0.0000 0.0000 0.0000 9.2259 0.0000 0.0000 0.0000 10.4157" Properties=species:S:1:pos:R:3 pbc="T T T"
Nd 0.0000 0.5536 0.0000
Nd 0.0000 4.0300 2.2708
Nd 1.8779 5.1959 7.4787
Nd 1.8779 8.6723 5.2079
Ni 0.0000 0.5559 7.2607
Ni 0.0000 0.8954 3.1447
Ni 0.0000 2.8189 8.2471
Ni 0.0000 3.8476 5.4484
Ni 0.0000 6.2927 4.9995
Ni 0.0000 6.7041 9.2538
Ni 0.0000 6.8868 1.2507
Ni 1.8779 2.3390 6.4585
Ni 1.8779 2.5218 4.0460
Ni 1.8779 2.9332 10.2073
Ni 1.8779 5.3783 0.2405
Ni 1.8779 6.4069 3.0392
Ni 1.8779 8.3305 8.3525
Ni 1.8779 8.6699 2.0528
P 0.0000 1.6901 5.2632
P 0.0000 4.4084 9.7415
P 0.0000 7.5021 7.1513
P 0.0000 7.7769 3.2053
P 1.8779 1.4490 8.4132
P 1.8779 1.7238 1.9434
P 1.8779 4.8174 4.5337
P 1.8779 7.5357 0.0553
```

Largest 10 diffraction maxima, in order of rising 2θ, 10° ≤ 2θ ≤ 90°:
27.0 deg, I 18; 34.4 deg, I 18; 35.3 deg, I 25; 36.6 deg, I 100; 37.8 deg, I 80; 40.4 deg, I 31; 43.4 deg, I 25; 47.3 deg, I 35; 48.5 deg, I 44; 70.1 deg, I 21


(5)
Structure and theoretical powder diffractogram of Ta3P (DFT lattice parameters and positions (GGA-PBE); CuKα).
Peak positions follow from Bragg's law for the DFT cell and can differ from measured ones.

Structure:
```
32
Lattice="10.2131 0.0000 0.0000 0.0000 10.2131 0.0000 0.0000 0.0000 5.0400" Properties=species:S:1:pos:R:3 pbc="T T T"
Ta 0.5026 0.5026 1.2600
Ta 0.5026 4.6040 3.7800
Ta 1.0621 7.6598 0.0000
Ta 1.6066 1.6066 3.7800
Ta 1.6066 3.4999 1.2600
Ta 2.5533 6.1686 2.5200
Ta 2.5533 9.1510 2.5200
Ta 3.4999 1.6066 1.2600
Ta 3.4999 3.4999 3.7800
Ta 4.0444 7.6598 0.0000
Ta 4.6040 0.5026 3.7800
Ta 4.6040 4.6040 1.2600
Ta 5.6091 5.6091 3.7800
Ta 5.6091 9.7105 1.2600
Ta 6.1686 2.5533 0.0000
Ta 6.7132 6.7132 1.2600
Ta 6.7132 8.6064 3.7800
Ta 7.6598 1.0621 2.5200
Ta 7.6598 4.0444 2.5200
Ta 8.6064 6.7132 3.7800
Ta 8.6064 8.6064 1.2600
Ta 9.1510 2.5533 0.0000
Ta 9.7105 5.6091 1.2600
Ta 9.7105 9.7105 3.7800
P 0.4344 7.6598 2.5200
P 2.5533 5.5410 0.0000
P 2.5533 9.7786 0.0000
P 4.6721 7.6598 2.5200
P 5.5410 2.5533 2.5200
P 7.6598 0.4344 0.0000
P 7.6598 4.6721 0.0000
P 9.7786 2.5533 2.5200
```

Largest 10 diffraction maxima, in order of rising 2θ, 10° ≤ 2θ ≤ 90°:
32.9 deg, I 39; 36.4 deg, I 100; 37.4 deg, I 44; 37.8 deg, I 60; 39.5 deg, I 33; 39.6 deg, I 20; 40.6 deg, I 80; 43.8 deg, I 29; 57.9 deg, I 21; 64.5 deg, I 44


(6)
Structure and theoretical powder diffractogram of SmH10C9O10 (DFT lattice parameters and positions (GGA-PBE); CuKα).
Peak positions follow from Bragg's law for the DFT cell and can differ from measured ones.

Structure:
```
60
Lattice="7.4034 0.0000 0.0000 2.0416 8.2885 0.0000 2.8957 3.0845 9.1503" Properties=species:S:1:pos:R:3 pbc="T T T"
Sm 2.4219 2.0275 0.3461
Sm 9.9187 9.3455 8.8042
H 2.0091 2.2505 5.8057
H 4.1678 8.1893 4.6826
H 2.5447 4.8801 0.1791
H 5.1987 9.6891 6.3505
H 3.9873 4.2071 6.2866
H 3.9094 2.5085 4.6494
H 6.7975 7.9513 8.5044
H 7.2934 10.0382 7.7327
H 4.9647 4.8042 2.1364
H 4.5321 2.4476 2.5006
H 7.8085 8.9254 6.6497
H 7.3759 6.5688 7.0139
H 5.0472 1.3347 1.4176
H 5.5431 3.4217 0.6459
H 8.4312 8.8645 4.5009
H 8.3533 7.1659 2.8637
H 7.1419 1.6839 2.7998
H 9.7959 6.4929 8.9712
H 8.1728 3.1837 4.4677
H 10.3315 9.1224 3.3446
C 3.6462 6.7971 6.9263
C 5.3472 10.9563 8.6540
C 4.0213 6.2491 5.5999
C 4.2250 7.1143 4.5253
C 4.1478 4.8688 5.4389
C 4.5826 6.5815 3.2878
C 4.4687 4.3408 4.1876
C 4.8013 7.4808 2.1257
C 4.7105 5.1996 3.1156
C 7.6301 6.1734 6.0346
C 7.5393 3.8922 7.0246
C 7.8719 7.0321 4.9627
C 7.7580 4.7915 5.8624
C 8.1928 6.5042 3.7114
C 8.1156 4.2587 4.6250
C 8.3193 5.1239 3.5504
C 6.9934 0.4167 0.4962
C 8.6944 4.5759 2.2240
O 1.7556 3.4004 2.1572
O 3.7795 6.0397 7.9557
O 4.8475 9.8802 8.2330
O 4.8987 10.1147 5.5183
O 4.3461 8.6734 2.1773
O 4.4423 3.1206 8.3169
O 6.1644 7.3709 9.0020
O 4.5527 2.9878 4.0032
O 5.4098 7.0200 1.1073
O 4.5618 2.2025 1.5199
O 7.7788 9.1704 7.6304
O 6.9308 4.3530 8.0430
O 7.7879 8.3852 5.1470
O 6.1762 4.0021 0.1483
O 7.8983 8.2524 0.8334
O 7.9945 2.6996 6.9730
O 7.4419 1.2583 3.6320
O 7.4931 1.4928 0.9173
O 8.5611 5.3333 1.1946
O 10.5850 7.9726 6.9931
```

Largest 10 diffraction maxima, in order of rising 2θ, 10° ≤ 2θ ≤ 90°:
14.6 deg, I 100; 15.6 deg, I 80; 18.2 deg, I 53; 19.4 deg, I 100; 21.0 deg, I 39; 21.6 deg, I 52; 25.4 deg, I 44; 26.6 deg, I 37; 27.3 deg, I 37; 28.4 deg, I 40